This entry pairs a crystal structure of HoCuHgS3 with its theoretical powder diffractogram. Radiation: Cu Kα. Structure: a DFT-relaxed cell (PBE, OQMD).

The 10 most intense peaks (2θ = 10–90°), in order of rising 2θ:
| d_spacing | Position (°2θ) | I/Imax | h k l |
| --- | --- | --- | --- |
| 3.991 | 22.28 | 100 | 0 2 2 |
| 3.448 | 25.84 | 39 | 1 1 1 |
| 3.109 | 28.72 | 39 | 0 4 0 |
| 2.991 | 29.87 | 38 | 1 1 2 |
| 2.713 | 33.01 | 80 | 1 3 1 |
| 2.602 | 34.46 | 44 | 0 0 4 |
| 2.516 | 35.68 | 40 | 1 1 3 |
| 2.473 | 36.33 | 63 | 1 3 2 |
| 2.184 | 41.34 | 30 | 1 3 3 |
| 1.995 | 45.45 | 35 | 0 4 4 |

```
data_HoCuHgS3
_chemical_formula_sum 'Ho4 Cu4 Hg4 S12'
_space_group_name_H-M_alt 'C m c m'
_space_group_IT_number 63
_space_group_name_Hall '-C 2c 2'
_cell_length_a 3.823
_cell_length_b 12.434
_cell_length_c 10.410
_cell_angle_alpha 90.00
_cell_angle_beta 90.00
_cell_angle_gamma 90.00
loop_
_atom_site_label
_atom_site_fract_x
_atom_site_fract_y
_atom_site_fract_z
_atom_site_occupancy
Ho1 0.000 0.000 0.000 1
Cu1 0.000 0.473 0.250 1
Hg1 0.000 0.244 0.750 1
S1 0.000 0.091 0.250 1
S2 0.000 0.360 0.075 1
```